[1]
Simulated powder XRD pattern
Compound: Ni3P2H16O16
Radiation: Cu Kα X-rays
Structure: DFT lattice parameters and positions (PBE+U)
Intensities are scaled so that the largest is 100.

Top 10 peaks for 2θ from 10° to 80°, sorted by position:
2θ = 11.35°, I 31.1; 2θ = 13.45°, I 100.0; 2θ = 18.33°, I 39.2; 2θ = 19.75°, I 21.2; 2θ = 23.29°, I 34.5; 2θ = 28.25°, I 34.6; 2θ = 30.42°, I 50.6; 2θ = 33.39°, I 26.7; 2θ = 33.74°, I 21.2; 2θ = 37.40°, I 22.1

Crystal structure
Lattice parameters (Å, degrees): 8.272 8.272 4.652 98.96 98.96 105.49
Sites, in units of the cell vectors:
Ni 0.000 0.000 0.000
Ni 0.389 0.611 0.000
Ni 0.611 0.389 0.000
P 0.313 0.313 0.386
P 0.687 0.687 0.614
H 0.040 0.204 0.637
H 0.055 0.315 0.957
H 0.174 0.738 0.730
H 0.176 0.565 0.520
H 0.204 0.040 0.637
H 0.262 0.826 0.270
H 0.315 0.055 0.957
H 0.435 0.824 0.480
H 0.565 0.176 0.520
H 0.685 0.945 0.043
H 0.738 0.174 0.730
H 0.796 0.960 0.363
H 0.824 0.435 0.480
H 0.826 0.262 0.270
H 0.945 0.685 0.043
H 0.960 0.796 0.363
O 0.022 0.788 0.192
O 0.156 0.156 0.387
O 0.171 0.618 0.725
O 0.212 0.978 0.808
O 0.241 0.440 0.230
O 0.382 0.829 0.275
O 0.397 0.397 0.717
O 0.440 0.241 0.230
O 0.560 0.759 0.770
O 0.603 0.603 0.283
O 0.618 0.171 0.725
O 0.759 0.560 0.770
O 0.788 0.022 0.192
O 0.829 0.382 0.275
O 0.844 0.844 0.613
O 0.978 0.212 0.808



[2]
Simulated powder XRD pattern
Compound: Rb2NiP4H8O16
Radiation: Cu Kα X-rays
Structure: DFT lattice parameters and positions (PBE+U)
Intensities are scaled so that the largest is 100.

Top 10 peaks for 2θ from 10° to 80°, sorted by position:
2θ = 12.08°, I 100.0; 2θ = 18.13°, I 53.4; 2θ = 24.22°, I 83.9; 2θ = 24.32°, I 67.2; 2θ = 24.56°, I 85.8; 2θ = 25.83°, I 82.9; 2θ = 27.59°, I 68.3; 2θ = 29.49°, I 93.8; 2θ = 31.24°, I 60.1; 2θ = 32.39°, I 48.1

Crystal structure
Lattice parameters (Å, degrees): 7.046 7.413 7.765 82.51 71.69 86.93
Sites, in units of the cell vectors:
Rb 0.097 0.216 0.289
Rb 0.903 0.784 0.711
Ni 0.500 0.000 0.500
P 0.239 0.299 0.752
P 0.350 0.761 0.239
P 0.650 0.239 0.761
P 0.761 0.701 0.248
H 0.080 0.766 0.086
H 0.266 0.531 0.458
H 0.382 0.817 0.845
H 0.383 0.681 0.700
H 0.617 0.319 0.300
H 0.618 0.183 0.155
H 0.734 0.469 0.542
H 0.920 0.234 0.914
O 0.051 0.283 0.927
O 0.248 0.148 0.635
O 0.260 0.492 0.653
O 0.260 0.568 0.325
O 0.274 0.831 0.081
O 0.314 0.884 0.388
O 0.412 0.270 0.852
O 0.447 0.790 0.717
O 0.553 0.210 0.283
O 0.588 0.730 0.148
O 0.686 0.116 0.612
O 0.726 0.169 0.919
O 0.740 0.432 0.675
O 0.740 0.508 0.347
O 0.752 0.852 0.365
O 0.949 0.717 0.073



[3]
Simulated powder XRD pattern
Compound: Tl2NiP4H8O16
Radiation: Cu Kα X-rays
Structure: DFT lattice parameters and positions (PBE+U)
Intensities are scaled so that the largest is 100.

Top 10 peaks for 2θ from 10° to 80°, sorted by position:
2θ = 12.04°, I 55.7; 2θ = 15.95°, I 33.4; 2θ = 18.16°, I 35.0; 2θ = 24.10°, I 54.5; 2θ = 24.25°, I 100.0; 2θ = 25.67°, I 36.6; 2θ = 28.42°, I 34.4; 2θ = 29.29°, I 48.8; 2θ = 32.21°, I 45.6; 2θ = 34.11°, I 43.0

Crystal structure
Lattice parameters (Å, degrees): 7.063 7.454 7.723 82.25 73.08 86.66
Sites, in units of the cell vectors:
Tl 0.103 0.212 0.294
Tl 0.897 0.788 0.706
Ni 0.500 0.000 0.500
P 0.246 0.299 0.751
P 0.346 0.764 0.236
P 0.654 0.236 0.764
P 0.754 0.701 0.249
H 0.068 0.767 0.087
H 0.268 0.534 0.456
H 0.379 0.815 0.840
H 0.391 0.679 0.694
H 0.609 0.321 0.306
H 0.621 0.185 0.160
H 0.732 0.466 0.544
H 0.932 0.233 0.913
O 0.062 0.283 0.925
O 0.253 0.149 0.635
O 0.260 0.572 0.324
O 0.264 0.831 0.077
O 0.268 0.490 0.651
O 0.313 0.889 0.382
O 0.419 0.265 0.854
O 0.451 0.789 0.715
O 0.549 0.211 0.285
O 0.581 0.735 0.146
O 0.687 0.111 0.618
O 0.732 0.510 0.349
O 0.736 0.169 0.923
O 0.740 0.428 0.676
O 0.747 0.851 0.365
O 0.938 0.717 0.075